Record 1
Calculated XRD peak list of Nd3GaRu3 for CuKα, from DFT lattice parameters and positions (GGA-PBE).

Crystal structure
```
Nd3GaRu3
1.0
2.1352 -5.3749 0.0000
2.1352 5.3749 0.0000
0.0000 0.0000 13.6111
Nd Ga Ru
6 2 6
direct
0.0055 0.9945 0.7500
0.2954 0.7046 0.6046
0.2954 0.7046 0.8954
0.7046 0.2954 0.1046
0.7046 0.2954 0.3954
0.9945 0.0055 0.2500
0.0000 0.0000 0.0000
0.0000 0.0000 0.5000
0.2913 0.7087 0.2500
0.4182 0.5818 0.0938
0.4182 0.5818 0.4062
0.5818 0.4182 0.5938
0.5818 0.4182 0.9062
0.7087 0.2913 0.7500
```

The 12 most intense peaks (5° ≤ 2θ ≤ 70°), by angle:
d_spacing	I/Imax
3.428	23
2.987	57
2.875	28
2.745	91
2.689	28
2.583	92
2.349	100
2.312	53
2.269	33
2.135	62
1.569	31
1.445	45

***

Record 2
Calculated XRD peak list of Nd5Ga5Ru2 for CuKα, from DFT lattice parameters and positions (GGA-PBE).

Crystal structure
```
Nd5Ga5Ru2
1.0
7.6997 -2.2245 0.0000
7.6997 2.2245 0.0000
-7.4322 0.0000 8.3942
Nd Ga Ru
5 5 2
direct
0.0000 0.0000 0.0000
0.1200 0.1200 0.4270
0.1936 0.1936 0.8252
0.8064 0.8064 0.1748
0.8800 0.8800 0.5730
0.2583 0.2583 0.3120
0.4490 0.4490 0.1619
0.5000 0.5000 0.5000
0.5510 0.5510 0.8381
0.7417 0.7417 0.6880
0.3456 0.3456 0.7413
0.6544 0.6544 0.2587
```

The 12 most intense peaks (5° ≤ 2θ ≤ 70°), by angle:
d_spacing	I/Imax
3.309	20
2.855	100
2.654	91
2.629	26
2.494	18
2.432	32
2.329	64
2.225	49
1.705	28
1.641	19
1.425	17
1.401	14

***

Record 3
Calculated XRD peak list of Nd2Ga9Ru6 for CuKα, from DFT lattice parameters and positions (GGA-PBE).

Crystal structure
```
Nd2Ga9Ru6
1.0
5.5174 0.0000 0.0000
-2.7587 4.7782 0.0000
0.0000 0.0000 12.0636
Nd Ga Ru
2 9 6
direct
0.0000 0.0000 0.1673
0.0000 0.0000 0.8327
0.0000 0.5000 0.0000
0.0000 0.5000 0.3375
0.0000 0.5000 0.6625
0.5000 0.0000 0.0000
0.5000 0.0000 0.3375
0.5000 0.0000 0.6625
0.5000 0.5000 0.0000
0.5000 0.5000 0.3375
0.5000 0.5000 0.6625
0.3333 0.6667 0.1713
0.3333 0.6667 0.5000
0.3333 0.6667 0.8287
0.6667 0.3333 0.1713
0.6667 0.3333 0.5000
0.6667 0.3333 0.8287
```

The 12 most intense peaks (5° ≤ 2θ ≤ 70°), by angle:
d_spacing	I/Imax
12.064	10
4.778	17
4.442	11
2.759	32
2.389	19
2.275	100
2.054	27
2.011	22
1.625	13
1.538	10
1.481	25
1.379	19

***

Record 4
Calculated XRD peak list of Nd4GaRu3 for CuKα, from DFT lattice parameters and positions (GGA-PBE).

Crystal structure
```
Nd4GaRu3
1.0
4.3280 0.0000 0.0000
0.0000 4.3954 0.0000
0.0000 0.0000 10.5443
Nd Ga Ru
4 1 3
direct
0.0000 0.0000 0.0000
0.0000 0.5000 0.2825
0.5000 0.0000 0.5146
0.5000 0.5000 0.8027
0.5000 0.0000 0.2107
0.0000 0.0000 0.7039
0.0000 0.5000 0.6076
0.5000 0.5000 0.0854
```

The 12 most intense peaks (5° ≤ 2θ ≤ 70°), by angle:
d_spacing	I/Imax
3.376	21
2.960	100
2.728	59
2.636	10
2.318	50
2.261	26
2.198	30
2.164	28
1.712	29
1.632	14
1.563	16
1.542	19

***

Record 5
Calculated XRD peak list of NdGa2S4 for CuKα, from DFT lattice parameters and positions (GGA-PBE).

Crystal structure
```
NdGa2S4
1.0
-3.7415 3.7415 3.1025
3.7415 -3.7415 3.1025
3.7415 3.7415 -3.1025
Nd Ga S
1 2 4
direct
0.0000 0.0000 0.0000
0.2500 0.7500 0.5000
0.7500 0.2500 0.5000
0.1727 0.6622 0.8349
0.3378 0.1727 0.5105
0.6622 0.8273 0.4895
0.8273 0.3378 0.1651
```

The 12 most intense peaks (5° ≤ 2θ ≤ 70°), by angle:
d_spacing	I/Imax
4.776	97
3.741	66
2.945	97
2.676	76
2.646	58
2.314	16
1.968	18
1.882	100
1.759	20
1.742	18
1.673	28
1.455	13

***

Record 6
Calculated XRD peak list of NdSc5Ga3 for CuKα, from DFT lattice parameters and positions (GGA-PBE).

Crystal structure
```
NdSc5Ga3
1.0
8.5121 0.0000 0.0000
-4.2560 7.3717 0.0000
0.0000 0.0000 6.2254
Nd Sc Ga
2 10 6
direct
0.0000 0.0000 0.0000
0.0000 0.0000 0.5000
0.0000 0.3349 0.2500
0.0000 0.6651 0.7500
0.3333 0.6667 0.0000
0.3333 0.6667 0.5000
0.3349 0.0000 0.2500
0.3349 0.3349 0.7500
0.6651 0.0000 0.7500
0.6651 0.6651 0.2500
0.6667 0.3333 0.0000
0.6667 0.3333 0.5000
0.0000 0.3430 0.7500
0.0000 0.6570 0.2500
0.3430 0.0000 0.7500
0.3430 0.3430 0.2500
0.6570 0.0000 0.2500
0.6570 0.6570 0.7500
```

The 12 most intense peaks (5° ≤ 2θ ≤ 70°), by angle:
d_spacing	I/Imax
7.372	31
3.686	11
3.513	7
2.868	10
2.786	8
2.512	100
2.457	95
2.076	6
1.757	32
1.557	9
1.429	31
1.419	15

***

Record 7
Calculated XRD peak list of NdScGa for CuKα, from DFT lattice parameters and positions (GGA-PBE).

Crystal structure
```
NdScGa
1.0
-4.3944 6.6985 3.8675
4.3944 -6.6985 3.8675
4.3944 6.6985 -3.8675
Nd Sc Ga
6 6 6
direct
0.0000 0.2500 0.2500
0.0000 0.7500 0.7500
0.4024 0.3534 0.5490
0.4023 0.8536 0.0487
0.8043 0.8534 0.4510
0.8050 0.3536 0.9513
0.1454 0.2735 0.8712
0.1454 0.7742 0.3719
0.4024 0.2742 0.1288
0.4024 0.7735 0.6281
0.6591 0.1591 0.5000
0.6591 0.6591 0.0000
0.0691 0.4023 0.6666
0.0691 0.9025 0.1668
0.4020 0.6523 0.2497
0.4027 0.1523 0.7503
0.7357 0.4025 0.3334
0.7357 0.9023 0.8332
```

The 12 most intense peaks (5° ≤ 2θ ≤ 70°), by angle:
d_spacing	I/Imax
3.867	22
2.903	100
2.664	73
2.532	28
2.233	29
2.196	39
1.858	17
1.711	21
1.659	15
1.566	19
1.451	25
1.419	14

***

Record 8
Calculated XRD peak list of NdScGa for CuKα, from DFT lattice parameters and positions (GGA-PBE).

Crystal structure
```
NdScGa
1.0
-1.7084 1.7084 6.3921
1.7084 -1.7084 6.3921
1.7084 1.7084 -6.3921
Nd Sc Ga
1 1 1
direct
0.0000 0.0000 0.0000
0.2933 0.2933 0.0000
0.6656 0.6656 0.0000
```

The 12 most intense peaks (5° ≤ 2θ ≤ 70°), by angle:
d_spacing	I/Imax
6.392	20
3.301	26
3.196	11
2.666	100
2.416	41
2.131	10
2.047	7
1.927	10
1.708	14
1.611	8
1.598	18
1.438	29

***

Record 9
Calculated XRD peak list of Nd4GaSe3 for CuKα, from DFT lattice parameters and positions (GGA-PBE).

Crystal structure
```
Nd4GaSe3
1.0
6.0119 0.0000 0.0000
0.0000 6.0119 0.0000
0.0000 0.0000 6.0119
Nd Ga Se
4 1 3
direct
0.0000 0.0000 0.0000
0.0000 0.5000 0.5000
0.5000 0.0000 0.5000
0.5000 0.5000 0.0000
0.5000 0.5000 0.5000
0.0000 0.0000 0.5000
0.0000 0.5000 0.0000
0.5000 0.0000 0.0000
```

The 8 most intense peaks (5° ≤ 2θ ≤ 70°), by angle:
d_spacing	I/Imax
3.471	17
3.006	100
2.126	75
1.813	8
1.735	26
1.503	12
1.379	3
1.344	34